Starting from a crystal structure in Alexandria, relaxed with GGA-PBE, the XRD peak list of Ag4SeO4 was computed for CuKα.
Neutral-atom scattering factors, no anomalous dispersion.

Crystal structure
```
data_Ag4SeO4
_cell_length_a 8.9397
_cell_length_b 8.9397
_cell_length_c 3.2886
_cell_angle_alpha 90.00
_cell_angle_beta 90.00
_cell_angle_gamma 90.00
_space_group_name_H-M_alt 'I 4/m'
_space_group_IT_number 87
_space_group_name_Hall '-I 4'
loop_
_atom_site_label
_atom_site_fract_x
_atom_site_fract_y
_atom_site_fract_z
Ag1 0.1100 0.3543 0.0000
Se1 0.0000 0.0000 0.5000
O1 0.1257 0.1640 0.5000
```

Top 8 peaks for 2θ from 10° to 90°, by angle:
- (1 1 0), 14.0 deg, I = 22
- (1 3 0), 31.7 deg, I = 52
- (2 1 1), 35.3 deg, I = 100
- (4 0 0), 40.4 deg, I = 21
- (2 3 1), 45.8 deg, I = 36
- (3 4 1), 58.8 deg, I = 17
- (5 2 1), 62.7 deg, I = 12
- (1 3 2), 65.7 deg, I = 12


Starting from a crystal structure in Alexandria, relaxed with GGA-PBE, the XRD peak list of Ag3SeO4 was computed for CuKα.
Neutral-atom scattering factors, no anomalous dispersion.

Crystal structure
```
data_Ag3SeO4
_cell_length_a 6.4950
_cell_length_b 6.9474
_cell_length_c 5.8474
_cell_angle_alpha 90.00
_cell_angle_beta 90.00
_cell_angle_gamma 90.00
_space_group_name_H-M_alt 'I m m 2'
_space_group_IT_number 44
_space_group_name_Hall 'I 2 -2'
loop_
_atom_site_label
_atom_site_fract_x
_atom_site_fract_y
_atom_site_fract_z
Ag1 0.0000 0.0000 0.0000
Ag2 0.0000 0.2097 0.5866
Se1 0.0000 0.5000 0.0335
O1 0.0000 0.3013 0.2003
O2 0.2105 0.5000 0.8629
```

Top 8 peaks for 2θ from 10° to 90°, by angle:
- (2 0 0), 27.5 deg, I = 54
- (0 0 2), 30.6 deg, I = 26
- (1 2 1), 33.0 deg, I = 100
- (0 2 2), 40.3 deg, I = 10
- (2 0 2), 41.6 deg, I = 29
- (3 2 1), 52.2 deg, I = 25
- (1 2 3), 55.9 deg, I = 15
- (4 0 0), 56.7 deg, I = 10


Starting from a crystal structure in Alexandria, relaxed with GGA-PBE, the XRD peak list of TlAgSeO4 was computed for CuKα.
Neutral-atom scattering factors, no anomalous dispersion.

Crystal structure
```
data_TlAgSeO4
_cell_length_a 6.3292
_cell_length_b 6.3292
_cell_length_c 7.5809
_cell_angle_alpha 90.00
_cell_angle_beta 90.00
_cell_angle_gamma 90.00
_space_group_name_H-M_alt 'I -4'
_space_group_IT_number 82
_space_group_name_Hall 'I -4'
loop_
_atom_site_label
_atom_site_fract_x
_atom_site_fract_y
_atom_site_fract_z
Tl1 0.0000 0.0000 0.0000
Ag1 0.0000 0.0000 0.5000
Se1 0.0000 0.5000 0.2500
O1 0.1273 0.6807 0.3745
```

Top 8 peaks for 2θ from 10° to 90°, by angle:
- (1 0 1), 18.3 deg, I = 42
- (1 1 0), 19.8 deg, I = 42
- (2 0 0), 28.2 deg, I = 55
- (1 1 2), 30.9 deg, I = 100
- (2 0 2), 37.0 deg, I = 22
- (2 2 0), 40.3 deg, I = 24
- (1 3 2), 51.6 deg, I = 46
- (2 0 4), 56.6 deg, I = 19


Starting from a crystal structure in Alexandria, relaxed with GGA-PBE, the XRD peak list of UAgSe2O8 was computed for CuKα.
Neutral-atom scattering factors, no anomalous dispersion.

Crystal structure
```
data_UAgSe2O8
_cell_length_a 6.2216
_cell_length_b 6.2216
_cell_length_c 6.3846
_cell_angle_alpha 90.00
_cell_angle_beta 90.00
_cell_angle_gamma 120.00
_space_group_name_H-M_alt 'P -3 m 1'
_space_group_IT_number 164
_space_group_name_Hall '-P 3 2"'
loop_
_atom_site_label
_atom_site_fract_x
_atom_site_fract_y
_atom_site_fract_z
U1 0.0000 0.0000 0.0000
Ag1 0.0000 0.0000 0.5000
Se1 0.3333 0.6667 0.2559
O1 0.1529 0.3057 0.2018
O2 0.3333 0.6667 0.5102
```

Top 8 peaks for 2θ from 10° to 90°, by angle:
- (1 0 0), 16.5 deg, I = 100
- (0 1 1), 21.6 deg, I = 69
- (1 1 0), 28.7 deg, I = 94
- (0 1 2), 32.6 deg, I = 77
- (0 2 2), 44.0 deg, I = 46
- (3 0 0), 50.8 deg, I = 19
- (1 2 2), 53.4 deg, I = 44
- (1 3 2), 69.4 deg, I = 19


Starting from a crystal structure in Alexandria, relaxed with GGA-PBE, the XRD peak list of Si2Ag6O7 was computed for CuKα.
Neutral-atom scattering factors, no anomalous dispersion.

Crystal structure
```
data_Si2Ag6O7
_cell_length_a 8.0306
_cell_length_b 5.4212
_cell_length_c 10.7321
_cell_angle_alpha 90.00
_cell_angle_beta 114.91
_cell_angle_gamma 90.00
_space_group_name_H-M_alt 'P 1 2/c 1'
_space_group_IT_number 13
_space_group_name_Hall '-P 2yc'
loop_
_atom_site_label
_atom_site_fract_x
_atom_site_fract_y
_atom_site_fract_z
Si1 0.2004 0.2389 0.3629
Ag1 0.0670 0.2168 0.6081
Ag2 0.3149 0.1916 0.1013
Ag3 0.4446 0.2539 0.8613
O1 0.0000 0.3491 0.2500
O2 0.1865 0.0673 0.8697
O3 0.2453 0.3604 0.5152
O4 0.3582 0.3203 0.3120
```

Top 8 peaks for 2θ from 10° to 90°, by angle:
- (2 1 -3), 32.7 deg, I = 93
- (0 2 0), 33.0 deg, I = 52
- (2 1 1), 34.0 deg, I = 100
- (0 0 4), 36.9 deg, I = 37
- (4 0 -2), 45.2 deg, I = 26
- (0 2 4), 50.4 deg, I = 22
- (4 2 -2), 57.1 deg, I = 17
- (2 3 1), 59.6 deg, I = 14


Starting from a crystal structure in Alexandria, relaxed with GGA-PBE, the XRD peak list of Si2Ag6O7 was computed for CuKα.
Neutral-atom scattering factors, no anomalous dispersion.

Crystal structure
```
data_Si2Ag6O7
_cell_length_a 13.0015
_cell_length_b 9.9158
_cell_length_c 10.8399
_cell_angle_alpha 90.00
_cell_angle_beta 106.04
_cell_angle_gamma 90.00
_space_group_name_H-M_alt 'C 1 2/m 1'
_space_group_IT_number 12
_space_group_name_Hall '-C 2y'
loop_
_atom_site_label
_atom_site_fract_x
_atom_site_fract_y
_atom_site_fract_z
Si1 0.1038 0.0000 0.1268
Si2 0.1574 0.5000 0.8752
Si3 0.1994 0.0000 0.6137
Ag1 0.0065 0.1508 0.3424
Ag2 0.0397 0.5000 0.3651
Ag3 0.0803 0.3578 0.1403
Ag4 0.1858 0.1799 0.8644
Ag5 0.2251 0.3263 0.6276
O1 0.0000 0.0000 0.0000
O2 0.1082 0.1362 0.2136
O3 0.1153 0.3615 0.9305
O4 0.1253 0.1368 0.5666
O5 0.1263 0.5000 0.7169
O6 0.2028 0.5000 0.4571
O7 0.2087 0.0000 0.0677
O8 0.2472 0.0000 0.7746
```

Top 8 peaks for 2θ from 10° to 90°, by angle:
- (1 3 -1), 28.6 deg, I = 33
- (1 3 -2), 31.8 deg, I = 100
- (4 0 1), 32.1 deg, I = 89
- (4 0 -3), 32.8 deg, I = 84
- (1 3 2), 33.9 deg, I = 40
- (3 3 -1), 34.2 deg, I = 55
- (0 0 4), 34.4 deg, I = 81
- (3 3 3), 47.3 deg, I = 35